No. 1
For Ho2Tm4Se9, DFT lattice parameters and positions (GGA-PBE) gives the computed powder X-ray diffraction pattern in this record (Cu Ka).

Most intense lines, 2θ = 5–70°, in order of rising 2θ:
d [Å]  Position (°2θ)  intensity
5.198  17.06  42
3.802  23.40  55
3.560  25.01  41
3.116  28.65  52
2.388  37.67  100
2.056  44.05  60

Structure:
abc: 7.1188 7.1209 19.3169
angles: 89.99 89.97 60.03
Element x y z (fractional)
1 Ho 0.0003 0.0011 0.1523
2 Ho 0.9997 0.9989 0.8477
3 Ho 0.0011 0.9985 0.3475
4 Ho 0.9989 0.0015 0.6525
5 Tm 0.3323 0.3336 0.8195
6 Tm 0.3330 0.3335 0.0137
7 Tm 0.3343 0.3331 0.3199
8 Tm 0.3339 0.3332 0.5132
9 Tm 0.6661 0.6668 0.4868
10 Tm 0.6657 0.6669 0.6801
11 Tm 0.6670 0.6665 0.9863
12 Tm 0.6677 0.6664 0.1805
13 Se 0.0011 0.3081 0.2501
14 Se 0.0269 0.3347 0.9169
15 Se 0.0265 0.6371 0.4170
16 Se 0.3080 0.9997 0.7501
17 Se 0.3085 0.6912 0.2497
18 Se 0.3361 0.6367 0.9168
19 Se 0.3368 0.0256 0.4167
20 Se 0.3613 0.6643 0.5834
21 Se 0.3635 0.9729 0.0832
22 Se 0.6365 0.0271 0.9168
23 Se 0.6387 0.3357 0.4166
24 Se 0.6632 0.9744 0.5833
25 Se 0.6639 0.3633 0.0832
26 Se 0.6920 0.0003 0.2499
27 Se 0.6915 0.3088 0.7503
28 Se 0.9735 0.3629 0.5830
29 Se 0.9731 0.6653 0.0831
30 Se 0.9989 0.6919 0.7499

---

No. 2
For Ho4TmSe7, DFT lattice parameters and positions (GGA-PBE) gives the computed powder X-ray diffraction pattern in this record (Cu Ka).

Most intense lines, 2θ = 5–70°, in order of rising 2θ:
d [Å]  Position (°2θ)  intensity
3.885  22.89  93
3.791  23.46  74
2.937  30.44  78
2.797  31.99  100
2.715  32.99  75
1.972  46.02  59

Structure:
abc: 6.9337 6.9337 12.1321
angles: 103.81 103.81 33.05
Element x y z (fractional)
1 Ho 0.0000 0.0000 0.0000
2 Ho 0.1871 0.1871 0.7651
3 Ho 0.5877 0.5877 0.3897
4 Ho 0.8872 0.8872 0.5766
5 Tm 0.7744 0.7744 0.1549
6 Se 0.1473 0.1473 0.2247
7 Se 0.2273 0.2273 0.5269
8 Se 0.3862 0.3862 0.0781
9 Se 0.5471 0.5471 0.6276
10 Se 0.6297 0.6297 0.9307
11 Se 0.8478 0.8478 0.7927
12 Se 0.9265 0.9265 0.3604

---

No. 3
For Ho5Tm3Se8, DFT lattice parameters and positions (GGA-PBE) gives the computed powder X-ray diffraction pattern in this record (Cu Ka).

Most intense lines, 2θ = 5–70°, in order of rising 2θ:
d [Å]  Position (°2θ)  intensity
3.300  27.02  23
2.858  31.30  100
2.021  44.86  74
1.723  53.15  11
1.650  55.71  26
1.429  65.31  12

Structure:
abc: 8.0824 8.0824 8.0824
angles: 60.00 60.00 60.00
Element x y z (fractional)
1 Ho 0.0000 0.0000 0.0000
2 Ho 0.0000 0.5000 0.5000
3 Ho 0.5000 0.0000 0.5000
4 Ho 0.5000 0.5000 0.0000
5 Ho 0.5000 0.5000 0.5000
6 Tm 0.0000 0.0000 0.5000
7 Tm 0.0000 0.5000 0.0000
8 Tm 0.5000 0.0000 0.0000
9 Se 0.2472 0.7500 0.7500
10 Se 0.2486 0.2486 0.2486
11 Se 0.2500 0.2500 0.7528
12 Se 0.2500 0.7528 0.2500
13 Se 0.7500 0.2472 0.7500
14 Se 0.7500 0.7500 0.2472
15 Se 0.7514 0.7514 0.7514
16 Se 0.7528 0.2500 0.2500

---

No. 4
For Y3HoTm3Se8, DFT lattice parameters and positions (GGA-PBE) gives the computed powder X-ray diffraction pattern in this record (Cu Ka).

Most intense lines, 2θ = 5–70°, in order of rising 2θ:
d [Å]  Position (°2θ)  intensity
6.603  13.41  17
3.442  25.89  11
2.855  31.33  100
2.019  44.89  73
1.648  55.79  19
1.428  65.36  12

Structure:
abc: 8.0824 8.0824 8.0824
angles: 59.90 59.90 59.90
Element x y z (fractional)
1 Y 0.0000 0.5000 0.5000
2 Y 0.5000 0.0000 0.5000
3 Y 0.5000 0.5000 0.0000
4 Ho 0.5000 0.5000 0.5000
5 Tm 0.0000 0.0000 0.5000
6 Tm 0.0000 0.5000 0.0000
7 Tm 0.5000 0.0000 0.0000
8 Se 0.2417 0.7538 0.7538
9 Se 0.2462 0.2462 0.7583
10 Se 0.2462 0.7583 0.2462
11 Se 0.2480 0.2480 0.2480
12 Se 0.7520 0.7520 0.7520
13 Se 0.7538 0.2417 0.7538
14 Se 0.7538 0.7538 0.2417
15 Se 0.7583 0.2462 0.2462